LiFeS2O8: computed powder XRD pattern (Cu Kα X-rays), based on a PBE+U-relaxed structure.
Neutral-atom scattering factors, no anomalous dispersion.

Most intense lines, 2θ = 10–90°, sorted by position:
- 2θ = 16.61°, I = 100, (0 1 1)
- 2θ = 23.44°, I = 33, (1 0 1)
- 2θ = 23.79°, I = 97, (1 1 -1)
- 2θ = 24.72°, I = 69, (0 2 1)
- 2θ = 25.73°, I = 80, (1 1 1)
- 2θ = 30.11°, I = 34, (1 2 -1)
- 2θ = 32.12°, I = 31, (1 1 -2)
- 2θ = 33.58°, I = 52, (0 2 2)
- 2θ = 36.89°, I = 42, (1 3 0)
- 2θ = 38.55°, I = 20, (2 1 0)

Atomic structure:
```
data_LiFeS2O8
_cell_length_a 4.884
_cell_length_b 8.450
_cell_length_c 6.919
_cell_angle_alpha 90.00
_cell_angle_beta 95.74
_cell_angle_gamma 90.00
_space_group_name_H-M_alt 'P 1 21 1'
_space_group_IT_number 4
loop_
_space_group_symop_operation_xyz
'x,y,z'
'-x,y+1/2,-z'
loop_
_atom_site_label
_atom_site_fract_x
_atom_site_fract_y
_atom_site_fract_z
Li1 0.192 0.000 0.285
Fe1 0.252 0.029 0.754
S1 0.208 0.707 0.012
S2 0.296 0.350 0.488
O1 0.002 0.407 0.454
O2 0.059 0.673 0.187
O3 0.086 0.632 0.837
O4 0.201 0.885 0.988
O5 0.291 0.173 0.512
O6 0.434 0.423 0.660
O7 0.435 0.385 0.309
O8 0.499 0.159 0.941
```